This entry pairs a crystal structure of Ce3Ni13B2 with its theoretical X-ray powder pattern. Radiation: λ = 1.5418 Å (Cu Kα). Structure: DFT lattice parameters and positions (GGA-PBE).
Kinematic intensities with the Lorentz-polarization factor, no thermal factor.

Peak list (6 most intense, 5° ≤ 2θ ≤ 70°, by angle)
- 32.03 deg, I = 69, (1 0 3)
- 36.30 deg, I = 30, (1 1 0)
- 42.16 deg, I = 59, (2 0 0)
- 44.08 deg, I = 100, (1 1 3)
- 49.47 deg, I = 15, (0 0 6)
- 62.64 deg, I = 20, (2 1 3)

Structural model:
Cell: 4.9496 4.9496 11.0550 Å, 90.00 90.00 120.00°
Sites, in units of the cell vectors:
Ce (0.0000, 0.0000, 0.0000)
Ce (0.0000, 0.0000, 0.3328)
Ce (0.0000, 0.0000, 0.6672)
Ni (0.0000, 0.5000, 0.1329)
Ni (0.0000, 0.5000, 0.5000)
Ni (0.0000, 0.5000, 0.8671)
Ni (0.3333, 0.6667, 0.3180)
Ni (0.3333, 0.6667, 0.6820)
Ni (0.5000, 0.0000, 0.1329)
Ni (0.5000, 0.0000, 0.5000)
Ni (0.5000, 0.0000, 0.8671)
Ni (0.5000, 0.5000, 0.1329)
Ni (0.5000, 0.5000, 0.5000)
Ni (0.5000, 0.5000, 0.8671)
Ni (0.6667, 0.3333, 0.3180)
Ni (0.6667, 0.3333, 0.6820)
B (0.3333, 0.6667, 0.0000)
B (0.6667, 0.3333, 0.0000)